[1]
Starting from a crystal structure in the Materials Project, relaxed with GGA+U, the X-ray diffraction stick pattern of CaNi2O4 was calculated for Cu Ka.
Lines closer than 0.1° are merged.

Peak list (6 most intense, 10 to 80 degrees two-theta, in order of rising 2θ)
- (0 0 3), 17.72 deg, rel. 34
- (1 0 4), 29.12 deg, rel. 24
- (0 2 1), 34.28 deg, rel. 100
- (0 2 4), 41.64 deg, rel. 28
- (0 2 7), 54.99 deg, rel. 36
- (2 2 0), 60.28 deg, rel. 25

Crystal structure
```
data_CaNi2O4
_chemical_formula_sum 'Ca6 Ni12 O24'
_space_group_name_H-M_alt 'P 3 m 1'
_space_group_IT_number 156
_space_group_name_Hall 'P 3 -2"'
_cell_length_a 6.1417
_cell_length_b 6.1417
_cell_length_c 14.9945
_cell_angle_alpha 90.00
_cell_angle_beta 90.00
_cell_angle_gamma 120.00
loop_
_atom_site_label
_atom_site_type_symbol
_atom_site_fract_x
_atom_site_fract_y
_atom_site_fract_z
Ca1 Ca 0.0000 0.0000 0.0000
Ca2 Ca 0.0000 0.0000 0.2398
Ca3 Ca 0.0000 0.0000 0.6035
Ca4 Ca 0.3333 0.6667 0.6609
Ca5 Ca 0.6667 0.3333 0.3595
Ca6 Ca 0.6667 0.3333 0.9499
Ni1 Ni 0.1727 0.3455 0.4411
Ni2 Ni 0.3246 0.1623 0.7797
Ni3 Ni 0.3333 0.6667 0.2757
Ni4 Ni 0.3333 0.6667 0.8908
Ni5 Ni 0.5020 0.0039 0.1248
Ni6 Ni 0.6667 0.3333 0.5672
O1 O 0.0000 0.0000 0.3867
O2 O 0.0000 0.0000 0.8557
O3 O 0.0668 0.5334 0.3524
O4 O 0.1442 0.2884 0.7153
O5 O 0.1980 0.3960 0.1914
O6 O 0.3333 0.6667 0.0319
O7 O 0.3333 0.6667 0.5074
O8 O 0.3506 0.1753 0.5100
O9 O 0.3700 0.1850 0.0647
O10 O 0.5113 0.0226 0.8436
O11 O 0.6667 0.3333 0.2030
O12 O 0.6667 0.3333 0.6902
```



[2]
Starting from a crystal structure in the Materials Project, relaxed with GGA+U, the X-ray diffraction stick pattern of Ca3Ni2O7 was calculated for Cu Ka.
Lines closer than 0.1° are merged.

Peak list (6 most intense, 10 to 80 degrees two-theta, in order of rising 2θ)
- (4 0 0), 18.43 deg, rel. 24
- (5 1 1), 33.17 deg, rel. 100
- (0 0 2), 33.36 deg, rel. 35
- (0 2 0), 33.54 deg, rel. 36
- (0 2 2), 48.04 deg, rel. 45
- (5 3 1), 59.74 deg, rel. 23

Crystal structure
```
data_Ca3Ni2O7
_chemical_formula_sum 'Ca12 Ni8 O28'
_space_group_name_H-M_alt 'C m c 21'
_space_group_IT_number 36
_space_group_name_Hall 'C 2c -2'
_cell_length_a 19.2553
_cell_length_b 5.3430
_cell_length_c 5.3714
_cell_angle_alpha 90.00
_cell_angle_beta 90.00
_cell_angle_gamma 90.00
loop_
_atom_site_label
_atom_site_type_symbol
_atom_site_fract_x
_atom_site_fract_y
_atom_site_fract_z
Ca1 Ca 0.0000 0.2375 0.0000
Ca2 Ca 0.1847 0.2426 0.9108
Ni1 Ni 0.0977 0.2493 0.4526
O1 O 0.0000 0.3276 0.4421
O2 O 0.0831 0.0424 0.7429
O3 O 0.1125 0.4619 0.1681
O4 O 0.1966 0.2025 0.4545
```



[3]
Starting from a crystal structure in the Materials Project, relaxed with GGA+U, the X-ray diffraction stick pattern of CaNi4O8 was calculated for Cu Ka.
Lines closer than 0.1° are merged.

Peak list (6 most intense, 10 to 80 degrees two-theta, in order of rising 2θ)
- (0 0 3), 15.86 deg, rel. 100
- (0 2 1), 36.71 deg, rel. 18
- (2 0 2), 37.91 deg, rel. 14
- (0 2 4), 42.42 deg, rel. 49
- (0 2 7), 53.23 deg, rel. 15
- (2 0 8), 57.64 deg, rel. 13

Crystal structure
```
data_CaNi4O8
_chemical_formula_sum 'Ca3 Ni12 O24'
_space_group_name_H-M_alt 'R -3 m'
_space_group_IT_number 166
_space_group_name_Hall '-R 3 2"'
_cell_length_a 5.7153
_cell_length_b 5.7153
_cell_length_c 16.7625
_cell_angle_alpha 90.00
_cell_angle_beta 90.00
_cell_angle_gamma 120.00
loop_
_atom_site_label
_atom_site_type_symbol
_atom_site_fract_x
_atom_site_fract_y
_atom_site_fract_z
Ca1 Ca 0.0000 0.0000 0.0000
Ni1 Ni 0.0000 0.0000 0.5000
Ni2 Ni 0.0000 0.5000 0.5000
O1 O 0.0000 0.0000 0.2238
O2 O 0.0220 0.5110 0.7734
```



[4]
Starting from a crystal structure in the Materials Project, relaxed with GGA+U, the X-ray diffraction stick pattern of CaNi2O4 was calculated for Cu Ka.
Lines closer than 0.1° are merged.

Peak list (6 most intense, 10 to 80 degrees two-theta, in order of rising 2θ)
- (2 0 0), 28.74 deg, rel. 18
- (1 1 2), 29.26 deg, rel. 29
- (1 2 1), 33.93 deg, rel. 100
- (1 0 3), 34.86 deg, rel. 43
- (3 2 1), 54.30 deg, rel. 24
- (2 2 4), 60.68 deg, rel. 38

Crystal structure
```
data_CaNi2O4
_chemical_formula_sum 'Ca4 Ni8 O16'
_space_group_name_H-M_alt 'I m m a'
_space_group_IT_number 74
_space_group_name_Hall '-I 2b 2'
_cell_length_a 6.2095
_cell_length_b 6.2248
_cell_length_c 8.4818
_cell_angle_alpha 90.00
_cell_angle_beta 90.00
_cell_angle_gamma 90.00
loop_
_atom_site_label
_atom_site_type_symbol
_atom_site_fract_x
_atom_site_fract_y
_atom_site_fract_z
Ca1 Ca 0.2500 0.2500 0.2500
Ni1 Ni 0.0000 0.0000 0.0000
Ni2 Ni 0.0000 0.2500 0.6393
O1 O 0.0000 0.0102 0.7722
O2 O 0.2411 0.2500 0.9826
```



[5]
Starting from a crystal structure in the Materials Project, relaxed with GGA+U, the X-ray diffraction stick pattern of CaNi2O4 was calculated for Cu Ka.
Lines closer than 0.1° are merged.

Peak list (6 most intense, 10 to 80 degrees two-theta, in order of rising 2θ)
- (0 0 2), 18.45 deg, rel. 27
- (1 1 1), 31.93 deg, rel. 30
- (0 2 3), 33.39 deg, rel. 100
- (1 3 0), 40.31 deg, rel. 37
- (1 3 1), 41.43 deg, rel. 51
- (1 3 2), 44.67 deg, rel. 54

Crystal structure
```
data_CaNi2O4
_chemical_formula_sum 'Ca4 Ni8 O16'
_space_group_name_H-M_alt 'C m c m'
_space_group_IT_number 63
_space_group_name_Hall '-C 2c 2'
_cell_length_a 3.0701
_cell_length_b 9.8012
_cell_length_c 9.6198
_cell_angle_alpha 90.00
_cell_angle_beta 90.00
_cell_angle_gamma 90.00
loop_
_atom_site_label
_atom_site_type_symbol
_atom_site_fract_x
_atom_site_fract_y
_atom_site_fract_z
Ca1 Ca 0.0000 0.1061 0.2500
Ni1 Ni 0.0000 0.3617 0.0682
O1 O 0.0000 0.0000 0.0000
O2 O 0.0000 0.2689 0.6062
O3 O 0.0000 0.4379 0.2500
```



[6]
Starting from a crystal structure in the Materials Project, relaxed with GGA+U, the X-ray diffraction stick pattern of CaNi2O4 was calculated for Cu Ka.
Lines closer than 0.1° are merged.

Peak list (6 most intense, 10 to 80 degrees two-theta, in order of rising 2θ)
- (0 0 3), 16.90 deg, rel. 62
- (0 1 5), 33.21 deg, rel. 46
- (1 1 3), 34.24 deg, rel. 100
- (0 2 1), 34.75 deg, rel. 73
- (0 2 4), 41.43 deg, rel. 50
- (2 2 0), 61.35 deg, rel. 48

Crystal structure
```
data_CaNi2O4
_chemical_formula_sum 'Ca6 Ni12 O24'
_space_group_name_H-M_alt 'R 3 m'
_space_group_IT_number 160
_space_group_name_Hall 'R 3 -2"'
_cell_length_a 6.0441
_cell_length_b 6.0441
_cell_length_c 15.7416
_cell_angle_alpha 90.00
_cell_angle_beta 90.00
_cell_angle_gamma 120.00
loop_
_atom_site_label
_atom_site_type_symbol
_atom_site_fract_x
_atom_site_fract_y
_atom_site_fract_z
Ca1 Ca 0.0000 0.0000 0.0000
Ca2 Ca 0.0000 0.0000 0.3890
Ni1 Ni 0.0000 0.0000 0.6083
Ni2 Ni 0.1751 0.3501 0.8392
O1 O 0.0000 0.0000 0.2493
O2 O 0.0000 0.0000 0.7217
O3 O 0.0481 0.5240 0.7762
O4 O 0.1755 0.3510 0.5626
```



[7]
Starting from a crystal structure in the Materials Project, relaxed with GGA+U, the X-ray diffraction stick pattern of CaNi2O4 was calculated for Cu Ka.
Lines closer than 0.1° are merged.

Peak list (6 most intense, 10 to 80 degrees two-theta, in order of rising 2θ)
- (0 0 1), 17.79 deg, rel. 75
- (2 0 1), 34.15 deg, rel. 52
- (3 1 -2), 34.58 deg, rel. 100
- (2 2 -2), 42.08 deg, rel. 36
- (3 3 -2), 55.56 deg, rel. 39
- (2 2 2), 60.40 deg, rel. 25

Crystal structure
```
data_CaNi2O4
_chemical_formula_sum 'Ca4 Ni8 O16'
_space_group_name_H-M_alt 'C 1 2/m 1'
_space_group_IT_number 12
_space_group_name_Hall '-C 2y'
_cell_length_a 10.6215
_cell_length_b 6.0805
_cell_length_c 6.0674
_cell_angle_alpha 90.00
_cell_angle_beta 124.68
_cell_angle_gamma 90.00
loop_
_atom_site_label
_atom_site_type_symbol
_atom_site_fract_x
_atom_site_fract_y
_atom_site_fract_z
Ca1 Ca 0.1240 0.0000 0.3757
Ni1 Ni 0.0000 0.5000 0.0000
Ni2 Ni 0.0000 0.5000 0.5000
Ni3 Ni 0.2500 0.2500 0.0000
O1 O 0.0211 0.2925 0.7605
O2 O 0.2190 0.5000 0.1920
O3 O 0.2438 0.5000 0.7933
```



[8]
Starting from a crystal structure in the Materials Project, relaxed with GGA+U, the X-ray diffraction stick pattern of CaNiO2 was calculated for Cu Ka.
Lines closer than 0.1° are merged.

Peak list (6 most intense, 10 to 80 degrees two-theta, in order of rising 2θ)
- (0 0 1), 10.78 deg, rel. 55
- (0 1 0), 11.62 deg, rel. 100
- (0 0 3), 32.73 deg, rel. 46
- (1 2 0), 38.24 deg, rel. 35
- (1 2 -1), 43.66 deg, rel. 38
- (1 -2 2), 44.45 deg, rel. 36

Crystal structure
```
data_CaNiO2
_chemical_formula_sum 'Ca4 Ni4 O8'
_space_group_name_H-M_alt 'P -1'
_space_group_IT_number 2
_space_group_name_Hall '-P 1'
_cell_length_a 3.1685
_cell_length_b 8.1719
_cell_length_c 8.9362
_cell_angle_alpha 68.97
_cell_angle_beta 80.03
_cell_angle_gamma 89.16
loop_
_atom_site_label
_atom_site_type_symbol
_atom_site_fract_x
_atom_site_fract_y
_atom_site_fract_z
Ca1 Ca 0.0058 0.2974 0.4793
Ca2 Ca 0.3126 0.8551 0.8657
Ni1 Ni 0.1739 0.4749 0.1490
Ni2 Ni 0.3777 0.2532 0.7834
O1 O 0.0928 0.5850 0.3222
O2 O 0.1601 0.9254 0.2157
O3 O 0.2642 0.3536 0.9749
O4 O 0.3966 0.7111 0.6957
```



[9]
Starting from a crystal structure in the Materials Project, relaxed with GGA+U, the X-ray diffraction stick pattern of CaNi2O4 was calculated for Cu Ka.
Lines closer than 0.1° are merged.

Peak list (6 most intense, 10 to 80 degrees two-theta, in order of rising 2θ)
- (3 1 -3), 33.43 deg, rel. 33
- (2 2 -1), 33.90 deg, rel. 40
- (0 2 3), 34.22 deg, rel. 100
- (3 1 3), 34.88 deg, rel. 29
- (6 2 0), 59.72 deg, rel. 30
- (2 2 8), 61.58 deg, rel. 29

Crystal structure
```
data_CaNi2O4
_chemical_formula_sum 'Ca12 Ni24 O48'
_space_group_name_H-M_alt 'C 1 m 1'
_space_group_IT_number 8
_space_group_name_Hall 'C -2y'
_cell_length_a 10.7559
_cell_length_b 6.1697
_cell_length_c 14.8609
_cell_angle_alpha 90.00
_cell_angle_beta 93.01
_cell_angle_gamma 90.00
loop_
_atom_site_label
_atom_site_type_symbol
_atom_site_fract_x
_atom_site_fract_y
_atom_site_fract_z
Ca1 Ca 0.0000 0.0000 0.0000
Ca2 Ca 0.0001 0.5000 0.4949
Ca3 Ca 0.1613 0.0000 0.8272
Ca4 Ca 0.3183 0.0000 0.2886
Ca5 Ca 0.3246 0.0000 0.6576
Ca6 Ca 0.3266 0.5000 0.1621
Ni1 Ni 0.0126 0.0000 0.3713
Ni2 Ni 0.0784 0.2573 0.1660
Ni3 Ni 0.1544 0.5000 0.9471
Ni4 Ni 0.1623 0.5000 0.3265
Ni5 Ni 0.1698 0.5000 0.7081
Ni6 Ni 0.2452 0.2590 0.4940
Ni7 Ni 0.3399 0.0000 0.0407
Ni8 Ni 0.4117 0.2477 0.8290
Ni9 Ni 0.4818 0.5000 0.6186
O1 O 0.0153 0.0000 0.2400
O2 O 0.0197 0.5000 0.2418
O3 O 0.0643 0.2575 0.9052
O4 O 0.1040 0.2740 0.4047
O5 O 0.1386 0.0000 0.5726
O6 O 0.1454 0.5000 0.0747
O7 O 0.1716 0.0000 0.1024
O8 O 0.1886 0.5000 0.5686
O9 O 0.2141 0.2872 0.2484
O10 O 0.2628 0.2554 0.7527
O11 O 0.3015 0.0000 0.4361
O12 O 0.3151 0.5000 0.3997
O13 O 0.3231 0.5000 0.9039
O14 O 0.3488 0.0000 0.9094
O15 O 0.3973 0.2611 0.5676
O16 O 0.4295 0.2410 0.0931
O17 O 0.4739 0.5000 0.7472
O18 O 0.4980 0.0000 0.7565
```



[10]
Starting from a crystal structure in the Materials Project, relaxed with GGA+U, the X-ray diffraction stick pattern of CaNi2O4 was calculated for Cu Ka.
Lines closer than 0.1° are merged.

Peak list (6 most intense, 10 to 80 degrees two-theta, in order of rising 2θ)
- (0 2 0), 16.10 deg, rel. 100
- (0 4 0), 32.54 deg, rel. 21
- (2 0 1), 35.71 deg, rel. 24
- (2 2 1), 39.40 deg, rel. 40
- (0 4 2), 48.88 deg, rel. 22
- (2 4 1), 49.08 deg, rel. 43

Crystal structure
```
data_CaNi2O4
_chemical_formula_sum 'Ca4 Ni8 O16'
_space_group_name_H-M_alt 'P m m n'
_space_group_IT_number 59
_cell_length_a 5.7936
_cell_length_b 11.0075
_cell_length_c 5.0633
_cell_angle_alpha 90.00
_cell_angle_beta 90.00
_cell_angle_gamma 90.00
loop_
_space_group_symop_operation_xyz
'x,y,z'
'-x,-y,-z'
'-x+1/2,-y+1/2,z'
'x+1/2,y+1/2,-z'
'x+1/2,-y,-z'
'-x+1/2,y,z'
'-x,y+1/2,-z'
'x,-y+1/2,z'
loop_
_atom_site_label
_atom_site_type_symbol
_atom_site_fract_x
_atom_site_fract_y
_atom_site_fract_z
Ca1 Ca 0.2500 0.2500 0.0300
Ca2 Ca 0.2500 0.7500 0.3478
Ni1 Ni 0.0000 0.0000 0.5000
Ni2 Ni 0.2500 0.5079 0.9959
O1 O 0.0017 0.1049 0.8410
O2 O 0.2500 0.0849 0.3181
O3 O 0.2500 0.5916 0.6600
```